Np4Si: computed X-ray diffraction stick pattern (Cu Kα (λ = 1.5418 Å)), based on DFT lattice parameters and positions (PBE).

Most intense lines, 2θ from 10° to 80°, low angle first:
| 2theta | I (rel.) | index |
| --- | --- | --- |
| 29.5 | 100.0 | 1 1 1 |
| 34.2 | 58.2 | 2 0 0 |
| 49.2 | 43.0 | 2 2 0 |
| 58.4 | 46.2 | 3 1 1 |
| 61.3 | 15.0 | 2 2 2 |
| 72.1 | 7.1 | 4 0 0 |
| 79.8 | 19.3 | 3 3 1 |

Structural model:
Lattice parameters (Å, degrees): 5.237 5.237 5.237 90.00 90.00 90.00
Fractional coordinates of all 5 atoms:
Np: 0.000 0.000 0.000
Np: 0.000 0.500 0.500
Np: 0.500 0.000 0.500
Np: 0.500 0.500 0.000
Si: 0.500 0.500 0.500